The following is a theoretical X-ray powder pattern of Ga16Rh3. It was derived from a DFT-relaxed cell (PBE, the Materials Project), using CuKα.
Intensities are scaled so that the largest is 100.

Most intense lines, 2θ = 10–90°, by angle:
31.6 deg, I 40; 32.6 deg, I 41; 38.7 deg, I 38; 40.5 deg, I 41; 42.6 deg, I 34; 43.0 deg, I 69; 43.6 deg, I 100; 44.9 deg, I 49; 67.8 deg, I 28; 73.0 deg, I 35

Structural model:
```
Ga16Rh3
1.0
3.292 -15.309 0.000
3.292 15.309 0.000
0.000 0.000 6.583
Ga Rh
32 6
Direct
0.009 0.991 0.750
0.017 0.273 0.604
0.067 0.634 0.401
0.102 0.222 0.912
0.134 0.567 0.099
0.170 0.830 0.750
0.222 0.102 0.412
0.227 0.483 0.104
0.273 0.017 0.104
0.278 0.398 0.412
0.330 0.670 0.750
0.366 0.933 0.099
0.398 0.278 0.912
0.433 0.866 0.401
0.483 0.227 0.604
0.491 0.509 0.750
0.509 0.491 0.250
0.517 0.773 0.396
0.567 0.134 0.599
0.602 0.722 0.088
0.634 0.067 0.901
0.670 0.330 0.250
0.722 0.602 0.588
0.727 0.983 0.896
0.773 0.517 0.896
0.778 0.898 0.588
0.830 0.170 0.250
0.866 0.433 0.901
0.898 0.778 0.088
0.933 0.366 0.599
0.983 0.727 0.396
0.991 0.009 0.250
0.090 0.910 0.750
0.250 0.750 0.750
0.410 0.590 0.750
0.590 0.410 0.250
0.750 0.250 0.250
0.910 0.090 0.250
```



The following is a theoretical X-ray powder pattern of YCu3O6. It was derived from a DFT-relaxed cell (PBE, the Materials Project), using CuKα.
Intensities are scaled so that the largest is 100.

Most intense lines, 2θ = 10–90°, by angle:
10.2 deg, I 57; 14.8 deg, I 23; 16.3 deg, I 21; 29.9 deg, I 22; 30.1 deg, I 43; 31.5 deg, I 53; 31.6 deg, I 100; 35.7 deg, I 34; 51.4 deg, I 21; 53.4 deg, I 27

Structural model:
```
YCu3O6
1.0
6.088 -1.741 0.000
6.088 1.741 0.000
-4.325 0.000 8.704
Y Cu O
1 3 6
Direct
0.000 0.000 0.000
0.000 0.000 0.500
0.336 0.336 0.175
0.664 0.664 0.825
0.127 0.127 0.467
0.198 0.198 0.182
0.447 0.447 0.108
0.553 0.553 0.892
0.802 0.802 0.818
0.873 0.873 0.533
```



The following is a theoretical X-ray powder pattern of Rb2Ba8LiSb6O2. It was derived from a DFT-relaxed cell (PBE, the Materials Project), using CuKα.
Intensities are scaled so that the largest is 100.

Most intense lines, 2θ = 10–90°, by angle:
26.4 deg, I 100; 26.7 deg, I 87; 27.4 deg, I 67; 27.5 deg, I 93; 28.9 deg, I 22; 29.2 deg, I 34; 29.9 deg, I 82; 31.2 deg, I 59; 32.7 deg, I 32; 54.9 deg, I 25

Structural model:
```
Rb2Ba8LiSb6O2
1.0
9.253 0.000 0.000
-0.629 9.265 0.000
-4.371 -4.554 8.228
Rb Ba Li Sb O
2 8 1 6 2
Direct
0.000 0.000 0.000
0.489 0.488 0.998
0.186 0.703 0.708
0.286 0.519 0.315
0.491 0.949 0.289
0.495 0.012 0.708
0.684 0.520 0.714
0.823 0.289 0.289
0.972 0.195 0.679
0.987 0.806 0.304
0.530 0.293 0.347
0.104 0.609 0.993
0.250 0.250 0.492
0.377 0.124 0.013
0.626 0.866 0.003
0.734 0.734 0.494
0.874 0.379 0.994
0.237 0.759 0.506
0.717 0.245 0.475
```



The following is a theoretical X-ray powder pattern of Te6Mo3WSe2. It was derived from a DFT-relaxed cell (PBE, the Materials Project), using CuKα.
Intensities are scaled so that the largest is 100.

Most intense lines, 2θ = 10–90°, by angle:
11.2 deg, I 89; 29.5 deg, I 54; 29.8 deg, I 14; 34.7 deg, I 100; 42.1 deg, I 66; 43.8 deg, I 19; 52.3 deg, I 41; 64.3 deg, I 17; 69.3 deg, I 15; 73.9 deg, I 19

Structural model:
```
Te6Mo3WSe2
1.0
3.497 0.000 0.000
-1.748 3.028 0.000
0.000 0.000 39.641
Te Mo W Se
6 3 1 2
Direct
0.000 0.000 0.000
0.000 0.000 0.093
0.000 0.000 0.376
0.000 0.000 0.468
0.667 0.333 0.188
0.667 0.333 0.280
0.000 0.000 0.234
0.667 0.333 0.046
0.667 0.333 0.422
0.000 0.000 0.610
0.667 0.333 0.569
0.667 0.333 0.651
```



The following is a theoretical X-ray powder pattern of ErAl8Ni3. It was derived from a DFT-relaxed cell (PBE, the Materials Project), using CuKα.
Intensities are scaled so that the largest is 100.

Most intense lines, 2θ = 10–90°, by angle:
12.1 deg, I 67; 18.0 deg, I 43; 23.4 deg, I 31; 26.8 deg, I 38; 32.2 deg, I 69; 35.9 deg, I 100; 39.4 deg, I 51; 40.0 deg, I 39; 40.8 deg, I 75; 46.2 deg, I 55

Structural model:
```
ErAl8Ni3
1.0
6.649 0.000 0.000
0.000 1.966 7.316
0.000 -1.966 7.316
Er Al Ni
1 8 3
Direct
0.000 0.000 0.000
0.000 0.199 0.199
0.209 0.807 0.807
0.262 0.630 0.630
0.307 0.437 0.437
0.500 0.063 0.063
0.693 0.437 0.437
0.738 0.630 0.630
0.791 0.807 0.807
0.000 0.357 0.357
0.500 0.248 0.248
0.500 0.900 0.900
```